# 1
The following is a computed X-ray diffraction stick pattern of CsHgCl3. It was derived from the PBE geometry in the Materials Project, using Cu Ka.
Intensities are scaled so that the largest is 1000.

Top 12 peaks for 10° ≤ 2θ ≤ 80°, by angle:
2θ = 17.1°, I 626, (1 0 1)
2θ = 22.0°, I 1000, (1 1 1)
2θ = 24.4°, I 352, (1 0 2)
2θ = 27.7°, I 402, (2 0 0)
2θ = 30.3°, I 196, (0 0 3)
2θ = 32.7°, I 291, (2 1 1)
2θ = 37.3°, I 284, (2 1 2)
2θ = 39.6°, I 338, (2 2 0)
2θ = 44.0°, I 195, (2 1 3)
2θ = 45.7°, I 259, (1 1 4)
2θ = 45.8°, I 295, (3 1 1)
2θ = 62.0°, I 208, (3 1 4)

Atomic structure:
```
data_CsHgCl3
_symmetry_space_group_name_H-M 'P 1'
_symmetry_Int_Tables_number 1
_symmetry_space_group_name_Hall 'P 1'
_cell_length_a 6.4303
_cell_length_b 6.4303
_cell_length_c 8.8352
_cell_angle_alpha 90.00
_cell_angle_beta 90.00
_cell_angle_gamma 90.00
loop_
_atom_site_label
_atom_site_fract_x
_atom_site_fract_y
_atom_site_fract_z
Cs1 0.0000 0.0000 0.0000
Cs2 0.5000 0.5000 0.0000
Hg1 0.0000 0.5000 0.3801
Hg2 0.5000 0.0000 0.6199
Cl1 0.0000 0.5000 0.0603
Cl2 0.2372 0.2628 0.6253
Cl3 0.2628 0.7628 0.3747
Cl4 0.5000 0.0000 0.9397
Cl5 0.7372 0.2372 0.3747
Cl6 0.7628 0.7372 0.6253
```

=====

# 2
The following is a computed X-ray diffraction stick pattern of CsHgCl3. It was derived from the PBE geometry in the Materials Project, using Cu Ka.
Intensities are scaled so that the largest is 1000.

Top 12 peaks for 10° ≤ 2θ ≤ 80°, by angle:
2θ = 16.4°, I 147, (1 0 0)
2θ = 23.3°, I 1000, (1 1 0)
2θ = 33.2°, I 463, (2 0 0)
2θ = 37.2°, I 81, (2 1 0)
2θ = 40.9°, I 476, (2 1 1)
2θ = 47.6°, I 325, (2 2 0)
2θ = 53.6°, I 220, (3 1 0)
2θ = 59.2°, I 111, (2 2 2)
2θ = 64.5°, I 256, (3 2 1)
2θ = 69.6°, I 52, (4 0 0)
2θ = 74.5°, I 128, (4 1 1)
2θ = 79.3°, I 145, (4 2 0)

Atomic structure:
```
data_CsHgCl3
_symmetry_space_group_name_H-M 'P 1'
_symmetry_Int_Tables_number 1
_symmetry_space_group_name_Hall 'P 1'
_cell_length_a 5.4028
_cell_length_b 5.4028
_cell_length_c 5.4028
_cell_angle_alpha 90.00
_cell_angle_beta 90.00
_cell_angle_gamma 90.00
loop_
_atom_site_label
_atom_site_fract_x
_atom_site_fract_y
_atom_site_fract_z
Cs1 0.0000 0.0000 0.0000
Hg1 0.5000 0.5000 0.5000
Cl1 0.0000 0.5000 0.5000
Cl2 0.5000 0.0000 0.5000
Cl3 0.5000 0.5000 0.0000
```

=====

# 3
The following is a computed X-ray diffraction stick pattern of CsHgCl3. It was derived from the PBE geometry in the Materials Project, using Cu Ka.
Intensities are scaled so that the largest is 1000.

Top 12 peaks for 10° ≤ 2θ ≤ 80°, by angle:
2θ = 16.0°, I 148, (1 2 0)
2θ = 22.7°, I 503, (2 0 0)
2θ = 22.8°, I 1000, (0 2 2)
2θ = 32.3°, I 452, (2 4 0)
2θ = 32.7°, I 219, (2 0 -4)
2θ = 39.9°, I 350, (2 2 2)
2θ = 40.0°, I 117, (4 2 -2)
2θ = 40.1°, I 227, (4 0 -4)
2θ = 46.6°, I 305, (4 4 -4)
2θ = 52.2°, I 173, (2 6 2)
2θ = 52.7°, I 116, (2 2 -6)
2θ = 57.8°, I 115, (2 8 -4)

Atomic structure:
```
data_CsHgCl3
_symmetry_space_group_name_H-M 'P 1'
_symmetry_Int_Tables_number 1
_symmetry_space_group_name_Hall 'P 1'
_cell_length_a 9.5520
_cell_length_b 15.7079
_cell_length_c 10.9689
_cell_angle_alpha 90.00
_cell_angle_beta 124.92
_cell_angle_gamma 90.00
loop_
_atom_site_label
_atom_site_fract_x
_atom_site_fract_y
_atom_site_fract_z
Cs1 0.0000 0.0000 0.0000
Cs2 0.0000 0.0000 0.5000
Cs3 0.0000 0.5000 0.0000
Cs4 0.0000 0.5000 0.5000
Cs5 0.4957 0.2478 0.2526
Cs6 0.4957 0.2522 0.7526
Cs7 0.5043 0.7478 0.2474
Cs8 0.5043 0.7522 0.7474
Hg1 0.0071 0.2434 0.7570
Hg2 0.0071 0.2566 0.2570
Hg3 0.5000 0.0000 0.0000
Hg4 0.5000 0.0000 0.5000
Hg5 0.5000 0.5000 0.0000
Hg6 0.5000 0.5000 0.5000
Hg7 0.9929 0.7434 0.7430
Hg8 0.9929 0.7566 0.2430
Cl1 0.0206 0.7494 0.5068
Cl2 0.0206 0.7506 0.0068
Cl3 0.2214 0.1345 0.3613
Cl4 0.2214 0.3655 0.8613
Cl5 0.2322 0.6332 0.8628
Cl6 0.2322 0.8668 0.3628
Cl7 0.2601 0.1246 0.8874
Cl8 0.2601 0.3754 0.3874
Cl9 0.2749 0.6103 0.3853
Cl10 0.2749 0.8897 0.8853
Cl11 0.4911 0.0015 0.7129
Cl12 0.4911 0.4985 0.2129
Cl13 0.5089 0.5015 0.7871
Cl14 0.5089 0.9985 0.2871
Cl15 0.7251 0.1103 0.1147
Cl16 0.7251 0.3897 0.6147
Cl17 0.7399 0.6246 0.6126
Cl18 0.7399 0.8754 0.1126
Cl19 0.7678 0.1332 0.6372
Cl20 0.7678 0.3668 0.1372
Cl21 0.7786 0.6345 0.1387
Cl22 0.7786 0.8655 0.6387
Cl23 0.9794 0.2494 0.9932
Cl24 0.9794 0.2506 0.4932
```